[1]
The following is a simulated XRD peak list of Na3Nd5Cl18. It was derived from a GGA-PBE-relaxed structure, using a wavelength of 1.5418 Å.
No peak broadening, texture or thermal motion is included.

Top 6 peaks for 5 to 70 degrees two-theta, most intense first:
34.4 deg, I 100
13.4 deg, I 91
42.0 deg, I 79
24.8 deg, I 59
23.4 deg, I 47
41.1 deg, I 40

Cell and atoms:
a b c (Å): 7.604 7.604 12.829
angles (deg): 90.00 90.00 120.00
Fractional positions:
Na 0.000 0.000 0.000
Na 0.667 0.333 0.144
Na 0.667 0.333 0.856
Nd 0.000 0.000 0.335
Nd 0.000 0.000 0.665
Nd 0.333 0.667 0.166
Nd 0.333 0.667 0.500
Nd 0.333 0.667 0.834
Cl 0.049 0.615 0.000
Cl 0.058 0.637 0.336
Cl 0.058 0.637 0.664
Cl 0.274 0.028 0.500
Cl 0.275 0.021 0.174
Cl 0.275 0.021 0.826
Cl 0.363 0.421 0.336
Cl 0.363 0.421 0.664
Cl 0.385 0.434 0.000
Cl 0.566 0.951 0.000
Cl 0.579 0.942 0.336
Cl 0.579 0.942 0.664
Cl 0.746 0.725 0.174
Cl 0.746 0.725 0.826
Cl 0.755 0.726 0.500
Cl 0.972 0.245 0.500
Cl 0.979 0.254 0.174
Cl 0.979 0.254 0.826


[2]
The following is a simulated XRD peak list of CoRe3. It was derived from a GGA-PBE-relaxed structure, using a wavelength of 1.5418 Å.
No peak broadening, texture or thermal motion is included.

Top 6 peaks for 5 to 70 degrees two-theta, most intense first:
43.8 deg, I 100
41.4 deg, I 26
38.3 deg, I 24
69.3 deg, I 17
57.7 deg, I 15
27.9 deg, I 13

Cell and atoms:
a b c (Å): 5.424 5.424 4.359
angles (deg): 90.00 90.00 120.00
Fractional positions:
Co 0.333 0.667 0.250
Co 0.667 0.333 0.750
Re 0.166 0.333 0.750
Re 0.166 0.834 0.750
Re 0.333 0.166 0.250
Re 0.667 0.834 0.750
Re 0.834 0.166 0.250
Re 0.834 0.667 0.250


[3]
The following is a simulated XRD peak list of NaTiS2. It was derived from a GGA-PBE-relaxed structure, using a wavelength of 1.5418 Å.
No peak broadening, texture or thermal motion is included.

Top 6 peaks for 5 to 70 degrees two-theta, most intense first:
10.8 deg, I 100
29.8 deg, I 42
44.7 deg, I 41
31.4 deg, I 27
36.8 deg, I 26
52.0 deg, I 19

Cell and atoms:
a b c (Å): 3.518 3.518 16.321
angles (deg): 90.00 90.00 120.14
Fractional positions:
Na 0.167 0.833 0.750
Na 0.833 0.167 0.250
Ti 0.500 0.500 0.000
Ti 0.500 0.500 0.500
S 0.167 0.833 0.587
S 0.167 0.833 0.913
S 0.833 0.167 0.087
S 0.833 0.167 0.413


[4]
The following is a simulated XRD peak list of Tb2Sn3Pb3S12. It was derived from a GGA-PBE-relaxed structure, using a wavelength of 1.5418 Å.
No peak broadening, texture or thermal motion is included.

Top 6 peaks for 5 to 70 degrees two-theta, most intense first:
27.2 deg, I 100
32.4 deg, I 55
26.3 deg, I 44
45.9 deg, I 34
26.0 deg, I 29
32.5 deg, I 27

Cell and atoms:
a b c (Å): 3.956 20.548 11.691
angles (deg): 90.00 90.00 90.00
Fractional positions:
Tb 0.000 0.088 0.000
Tb 0.000 0.395 0.678
Tb 0.000 0.605 0.178
Tb 0.000 0.912 0.500
Sn 0.500 0.074 0.345
Sn 0.500 0.250 0.854
Sn 0.500 0.412 0.371
Sn 0.500 0.588 0.871
Sn 0.500 0.750 0.354
Sn 0.500 0.926 0.845
Pb 0.000 0.122 0.624
Pb 0.000 0.242 0.256
Pb 0.000 0.414 0.051
Pb 0.000 0.586 0.551
Pb 0.000 0.758 0.756
Pb 0.000 0.878 0.124
S 0.000 0.008 0.289
S 0.000 0.242 0.999
S 0.000 0.257 0.702
S 0.000 0.341 0.454
S 0.000 0.482 0.289
S 0.000 0.518 0.789
S 0.000 0.659 0.954
S 0.000 0.743 0.202
S 0.000 0.758 0.499
S 0.000 0.992 0.789
S 0.500 0.009 0.535
S 0.500 0.126 0.836
S 0.500 0.139 0.157
S 0.500 0.176 0.453
S 0.500 0.343 0.190
S 0.500 0.376 0.844
S 0.500 0.470 0.566
S 0.500 0.530 0.066
S 0.500 0.624 0.344
S 0.500 0.657 0.690
S 0.500 0.824 0.953
S 0.500 0.861 0.657
S 0.500 0.874 0.336
S 0.500 0.991 0.035